Record 1
This entry pairs a crystal structure of Rb3Th with its theoretical powder diffraction line list. Radiation: Cu Ka. Structure: DFT lattice parameters and positions (GGA-PBE).
Lines closer than 0.1° are merged.

Most intense lines, 2θ = 10–90°, low angle first:
two_theta	intensity
15.3	16
25.1	100
35.8	20
44.3	44
51.6	14
58.2	20
70.3	22
81.5	11

Structure:
```
data_Rb3Th
_chemical_formula_sum 'Rb12 Th4'
_cell_length_a 10.020
_cell_length_b 10.020
_cell_length_c 10.020
_cell_angle_alpha 90.00
_cell_angle_beta 90.00
_cell_angle_gamma 90.00
_space_group_name_H-M_alt 'F m -3 m'
_space_group_IT_number 225
_space_group_name_Hall '-F 4 2 3'
loop_
_atom_site_label
_atom_site_type_symbol
_atom_site_fract_x
_atom_site_fract_y
_atom_site_fract_z
Rb1 Rb 0.000 0.000 0.000
Rb2 Rb 0.250 0.250 0.250
Th1 Th 0.000 0.000 0.500
```

Record 2
This entry pairs a crystal structure of RbTl3 with its theoretical powder diffraction line list. Radiation: Cu Ka. Structure: DFT lattice parameters and positions (GGA-PBE).
Lines closer than 0.1° are merged.

Most intense lines, 2θ = 10–90°, low angle first:
two_theta	intensity
12.3	53
24.7	24
29.8	100
33.2	22
36.9	17
41.1	26
57.3	16
66.2	16

Structure:
```
data_RbTl3
_chemical_formula_sum 'Rb2 Tl6'
_cell_length_a 8.3374
_cell_length_b 8.3374
_cell_length_c 5.3903
_cell_angle_alpha 90.00
_cell_angle_beta 90.00
_cell_angle_gamma 120.00
_space_group_name_H-M_alt 'P 63/m m c'
_space_group_IT_number 194
_space_group_name_Hall '-P 6c 2c'
loop_
_atom_site_label
_atom_site_type_symbol
_atom_site_fract_x
_atom_site_fract_y
_atom_site_fract_z
Rb1 Rb 0.3333 0.6667 0.2500
Tl1 Tl 0.1354 0.2709 0.7500
```

Record 3
This entry pairs a crystal structure of RbTl3 with its theoretical powder diffraction line list. Radiation: Cu Ka. Structure: DFT lattice parameters and positions (GGA-PBE).
Lines closer than 0.1° are merged.

Most intense lines, 2θ = 10–90°, low angle first:
two_theta	intensity
18.7	6
30.7	100
44.0	19
54.6	40
63.9	13
72.6	17
80.9	4
88.9	22

Structure:
```
data_RbTl3
_chemical_formula_sum 'Rb4 Tl12'
_cell_length_a 8.236
_cell_length_b 8.236
_cell_length_c 8.236
_cell_angle_alpha 90.00
_cell_angle_beta 90.00
_cell_angle_gamma 90.00
_space_group_name_H-M_alt 'F m -3 m'
_space_group_IT_number 225
_space_group_name_Hall '-F 4 2 3'
loop_
_atom_site_label
_atom_site_type_symbol
_atom_site_fract_x
_atom_site_fract_y
_atom_site_fract_z
Rb1 Rb 0.000 0.000 0.000
Tl1 Tl 0.000 0.000 0.500
Tl2 Tl 0.250 0.250 0.250
```

Record 4
This entry pairs a crystal structure of Rb5Tl9 with its theoretical powder diffraction line list. Radiation: Cu Ka. Structure: DFT lattice parameters and positions (GGA-PBE).
Lines closer than 0.1° are merged.

Most intense lines, 2θ = 10–90°, low angle first:
two_theta	intensity
10.8	100
29.2	46
29.7	47
29.8	79
32.5	26
34.0	19
34.2	24
35.3	53

Structure:
```
data_Rb5Tl9
_chemical_formula_sum 'Rb15 Tl27'
_cell_length_a 10.5898
_cell_length_b 10.5898
_cell_length_c 18.2111
_cell_angle_alpha 90.00
_cell_angle_beta 90.00
_cell_angle_gamma 120.00
_space_group_name_H-M_alt 'P -6 2 m'
_space_group_IT_number 189
_space_group_name_Hall 'P -6 -2'
loop_
_atom_site_label
_atom_site_type_symbol
_atom_site_fract_x
_atom_site_fract_y
_atom_site_fract_z
Rb1 Rb 0.0000 0.0000 0.0000
Rb2 Rb 0.0000 0.2710 0.1886
Rb3 Rb 0.0000 0.6126 0.3166
Rb4 Rb 0.3333 0.6667 0.5000
Tl1 Tl 0.0000 0.0000 0.3504
Tl2 Tl 0.0000 0.2845 0.4091
Tl3 Tl 0.0000 0.6187 0.0998
Tl4 Tl 0.0000 0.7883 0.5000
Tl5 Tl 0.1722 0.4655 0.0000
Tl6 Tl 0.3333 0.6667 0.1553
```

Record 5
This entry pairs a crystal structure of Rb8Tl11 with its theoretical powder diffraction line list. Radiation: Cu Ka. Structure: DFT lattice parameters and positions (GGA-PBE).
Lines closer than 0.1° are merged.

Most intense lines, 2θ = 10–90°, low angle first:
two_theta	intensity
10.2	100
11.7	30
29.0	22
29.2	61
30.1	89
33.7	21
34.2	18
39.4	19

Structure:
```
data_Rb8Tl11
_chemical_formula_sum 'Rb48 Tl66'
_cell_length_a 10.5950
_cell_length_b 10.5950
_cell_length_c 53.7491
_cell_angle_alpha 90.00
_cell_angle_beta 90.00
_cell_angle_gamma 120.00
_space_group_name_H-M_alt 'R -3 c'
_space_group_IT_number 167
_space_group_name_Hall '-R 3 2"c'
loop_
_atom_site_label
_atom_site_type_symbol
_atom_site_fract_x
_atom_site_fract_y
_atom_site_fract_z
Rb1 Rb 0.0000 0.0000 0.0788
Rb2 Rb 0.0306 0.2968 0.1447
Tl1 Tl 0.0000 0.0000 0.1993
Tl2 Tl 0.0000 0.2117 0.7500
Tl3 Tl 0.0085 0.2932 0.2194
```

Record 6
This entry pairs a crystal structure of Rb3Tm with its theoretical powder diffraction line list. Radiation: Cu Ka. Structure: DFT lattice parameters and positions (GGA-PBE).
Lines closer than 0.1° are merged.

Most intense lines, 2θ = 10–90°, low angle first:
two_theta	intensity
24.0	100
27.8	52
39.7	40
47.0	49
49.2	14
63.2	20
65.0	18
77.3	15

Structure:
```
data_Rb3Tm
_chemical_formula_sum 'Rb3 Tm1'
_cell_length_a 6.415
_cell_length_b 6.415
_cell_length_c 6.415
_cell_angle_alpha 90.00
_cell_angle_beta 90.00
_cell_angle_gamma 90.00
_space_group_name_H-M_alt 'P m -3 m'
_space_group_IT_number 221
_space_group_name_Hall '-P 4 2 3'
loop_
_atom_site_label
_atom_site_type_symbol
_atom_site_fract_x
_atom_site_fract_y
_atom_site_fract_z
Rb1 Rb 0.000 0.000 0.500
Tm1 Tm 0.500 0.500 0.500
```

Record 7
This entry pairs a crystal structure of Rb3Tm with its theoretical powder diffraction line list. Radiation: Cu Ka. Structure: DFT lattice parameters and positions (GGA-PBE).
Lines closer than 0.1° are merged.

Most intense lines, 2θ = 10–90°, low angle first:
two_theta	intensity
15.1	7
24.7	100
35.3	20
43.5	44
50.7	14
57.2	19
69.0	22
79.9	11

Structure:
```
data_Rb3Tm
_chemical_formula_sum 'Rb12 Tm4'
_cell_length_a 10.183
_cell_length_b 10.183
_cell_length_c 10.183
_cell_angle_alpha 90.00
_cell_angle_beta 90.00
_cell_angle_gamma 90.00
_space_group_name_H-M_alt 'F m -3 m'
_space_group_IT_number 225
_space_group_name_Hall '-F 4 2 3'
loop_
_atom_site_label
_atom_site_type_symbol
_atom_site_fract_x
_atom_site_fract_y
_atom_site_fract_z
Rb1 Rb 0.000 0.000 0.000
Rb2 Rb 0.250 0.250 0.250
Tm1 Tm 0.000 0.000 0.500
```

Record 8
This entry pairs a crystal structure of Rb3Tm with its theoretical powder diffraction line list. Radiation: Cu Ka. Structure: DFT lattice parameters and positions (GGA-PBE).
Lines closer than 0.1° are merged.

Most intense lines, 2θ = 10–90°, low angle first:
two_theta	intensity
24.1	100
27.0	19
28.4	33
39.6	27
46.0	17
47.8	31
49.4	14
63.0	14

Structure:
```
data_Rb3Tm
_chemical_formula_sum 'Rb6 Tm2'
_cell_length_a 6.289
_cell_length_b 6.289
_cell_length_c 13.219
_cell_angle_alpha 90.00
_cell_angle_beta 90.00
_cell_angle_gamma 90.00
_space_group_name_H-M_alt 'I 4/m m m'
_space_group_IT_number 139
_space_group_name_Hall '-I 4 2'
loop_
_atom_site_label
_atom_site_type_symbol
_atom_site_fract_x
_atom_site_fract_y
_atom_site_fract_z
Rb1 Rb 0.000 0.000 0.000
Rb2 Rb 0.000 0.500 0.250
Tm1 Tm 0.000 0.000 0.500
```

Record 9
This entry pairs a crystal structure of RbU3 with its theoretical powder diffraction line list. Radiation: Cu Ka. Structure: DFT lattice parameters and positions (GGA-PBE).
Lines closer than 0.1° are merged.

Most intense lines, 2θ = 10–90°, low angle first:
two_theta	intensity
19.4	9
27.6	8
34.0	100
39.5	50
57.0	35
68.1	42
71.6	12
84.9	6

Structure:
```
data_RbU3
_chemical_formula_sum 'Rb1 U3'
_cell_length_a 4.567
_cell_length_b 4.567
_cell_length_c 4.567
_cell_angle_alpha 90.00
_cell_angle_beta 90.00
_cell_angle_gamma 90.00
_space_group_name_H-M_alt 'P m -3 m'
_space_group_IT_number 221
_space_group_name_Hall '-P 4 2 3'
loop_
_atom_site_label
_atom_site_type_symbol
_atom_site_fract_x
_atom_site_fract_y
_atom_site_fract_z
Rb1 Rb 0.000 0.000 0.000
U1 U 0.000 0.500 0.500
```

Record 10
This entry pairs a crystal structure of Rb3V with its theoretical powder diffraction line list. Radiation: Cu Ka. Structure: DFT lattice parameters and positions (GGA-PBE).
Lines closer than 0.1° are merged.

Most intense lines, 2θ = 10–90°, low angle first:
two_theta	intensity
25.9	100
37.0	19
45.7	41
53.3	13
60.2	18
66.6	4
72.8	20
84.5	10

Structure:
```
data_Rb3V
_chemical_formula_sum 'Rb12 V4'
_cell_length_a 9.725
_cell_length_b 9.725
_cell_length_c 9.725
_cell_angle_alpha 90.00
_cell_angle_beta 90.00
_cell_angle_gamma 90.00
_space_group_name_H-M_alt 'F m -3 m'
_space_group_IT_number 225
_space_group_name_Hall '-F 4 2 3'
loop_
_atom_site_label
_atom_site_type_symbol
_atom_site_fract_x
_atom_site_fract_y
_atom_site_fract_z
Rb1 Rb 0.000 0.000 0.000
Rb2 Rb 0.250 0.250 0.250
V1 V 0.000 0.000 0.500
```

Record 11
This entry pairs a crystal structure of Rb3Y with its theoretical powder diffraction line list. Radiation: Cu Ka. Structure: DFT lattice parameters and positions (GGA-PBE).
Lines closer than 0.1° are merged.

Most intense lines, 2θ = 10–90°, low angle first:
two_theta	intensity
24.6	100
35.1	20
43.4	43
50.5	14
57.0	19
68.8	21
79.6	11
84.9	6

Structure:
```
data_Rb3Y
_chemical_formula_sum 'Rb12 Y4'
_cell_length_a 10.217
_cell_length_b 10.217
_cell_length_c 10.217
_cell_angle_alpha 90.00
_cell_angle_beta 90.00
_cell_angle_gamma 90.00
_space_group_name_H-M_alt 'F m -3 m'
_space_group_IT_number 225
_space_group_name_Hall '-F 4 2 3'
loop_
_atom_site_label
_atom_site_type_symbol
_atom_site_fract_x
_atom_site_fract_y
_atom_site_fract_z
Rb1 Rb 0.000 0.000 0.000
Rb2 Rb 0.250 0.250 0.250
Y1 Y 0.000 0.000 0.500
```

Record 12
This entry pairs a crystal structure of Rb3Y with its theoretical powder diffraction line list. Radiation: Cu Ka. Structure: DFT lattice parameters and positions (GGA-PBE).
Lines closer than 0.1° are merged.

Most intense lines, 2θ = 10–90°, low angle first:
two_theta	intensity
24.0	100
26.7	19
28.3	33
39.3	27
45.5	17
47.7	30
49.2	14
62.5	13

Structure:
```
data_Rb3Y
_chemical_formula_sum 'Rb6 Y2'
_cell_length_a 6.296
_cell_length_b 6.296
_cell_length_c 13.379
_cell_angle_alpha 90.00
_cell_angle_beta 90.00
_cell_angle_gamma 90.00
_space_group_name_H-M_alt 'I 4/m m m'
_space_group_IT_number 139
_space_group_name_Hall '-I 4 2'
loop_
_atom_site_label
_atom_site_type_symbol
_atom_site_fract_x
_atom_site_fract_y
_atom_site_fract_z
Rb1 Rb 0.000 0.000 0.000
Rb2 Rb 0.000 0.500 0.250
Y1 Y 0.000 0.000 0.500
```

Record 13
This entry pairs a crystal structure of Rb3Zr with its theoretical powder diffraction line list. Radiation: Cu Ka. Structure: DFT lattice parameters and positions (GGA-PBE).
Lines closer than 0.1° are merged.

Most intense lines, 2θ = 10–90°, low angle first:
two_theta	intensity
24.8	100
28.7	52
41.0	38
48.5	47
50.8	13
65.3	19
67.2	17
80.1	14

Structure:
```
data_Rb3Zr
_chemical_formula_sum 'Rb3 Zr1'
_cell_length_a 6.226
_cell_length_b 6.226
_cell_length_c 6.226
_cell_angle_alpha 90.00
_cell_angle_beta 90.00
_cell_angle_gamma 90.00
_space_group_name_H-M_alt 'P m -3 m'
_space_group_IT_number 221
_space_group_name_Hall '-P 4 2 3'
loop_
_atom_site_label
_atom_site_type_symbol
_atom_site_fract_x
_atom_site_fract_y
_atom_site_fract_z
Rb1 Rb 0.000 0.000 0.500
Zr1 Zr 0.500 0.500 0.500
```

Record 14
This entry pairs a crystal structure of Rb3Zr with its theoretical powder diffraction line list. Radiation: Cu Ka. Structure: DFT lattice parameters and positions (GGA-PBE).
Lines closer than 0.1° are merged.

Most intense lines, 2θ = 10–90°, low angle first:
two_theta	intensity
24.9	100
28.4	35
29.4	16
40.7	13
41.4	25
48.3	32
49.5	15
51.0	13

Structure:
```
data_Rb3Zr
_chemical_formula_sum 'Rb6 Zr2'
_cell_length_a 6.275
_cell_length_b 6.275
_cell_length_c 12.146
_cell_angle_alpha 90.00
_cell_angle_beta 90.00
_cell_angle_gamma 90.00
_space_group_name_H-M_alt 'I 4/m m m'
_space_group_IT_number 139
_space_group_name_Hall '-I 4 2'
loop_
_atom_site_label
_atom_site_type_symbol
_atom_site_fract_x
_atom_site_fract_y
_atom_site_fract_z
Rb1 Rb 0.000 0.000 0.000
Rb2 Rb 0.000 0.500 0.250
Zr1 Zr 0.000 0.000 0.500
```